Structure and simulated PXRD pattern of TaZnPb3 (the PBE geometry in Alexandria; copper Kα).
Lines closer than 0.1° are merged.

Largest 8 diffraction maxima, sorted by position, 10 to 80 degrees two-theta:
Position (°2θ)	d_spacing	I_rel
16.05	5.523	68.8
27.98	3.189	66.6
32.42	2.762	100.0
36.37	2.470	38.3
46.51	1.953	74.7
55.15	1.665	31.4
57.83	1.594	26.2
77.25	1.235	34.5

Cell and atoms:
```
data_TaZnPb3
_chemical_formula_sum 'Ta1 Zn1 Pb3'
_symmetry_space_group_name_H-M 'P m -3 m'
_symmetry_Int_Tables_number 221
_symmetry_space_group_name_Hall '-P 4 2 3'
_cell_length_a 5.5232
_cell_length_b 5.5232
_cell_length_c 5.5232
_cell_angle_alpha 90.00
_cell_angle_beta 90.00
_cell_angle_gamma 90.00
loop_
_atom_site_label
_atom_site_type_symbol
_atom_site_fract_x
_atom_site_fract_y
_atom_site_fract_z
Ta1 Ta 0.0000 0.0000 0.0000
Zn1 Zn 0.5000 0.5000 0.5000
Pb1 Pb 0.0000 0.0000 0.5000
```


Structure and simulated PXRD pattern of RbH12N3 (the PBE geometry in Alexandria; copper Kα).
Lines closer than 0.1° are merged.

Largest 8 diffraction maxima, sorted by position, 10 to 80 degrees two-theta:
Position (°2θ)	d_spacing	I_rel
13.28	6.668	66.3
18.68	4.751	32.7
18.96	4.680	31.7
22.99	3.869	100.0
23.45	3.793	31.5
26.74	3.334	62.8
29.78	3.000	23.9
30.15	2.964	23.2

Cell and atoms:
```
data_RbH12N3
_chemical_formula_sum 'Rb6 H72 N18'
_symmetry_space_group_name_H-M 'R 3 c'
_symmetry_Int_Tables_number 161
_symmetry_space_group_name_Hall 'R 3 -2"c'
_cell_length_a 9.5014
_cell_length_b 9.5014
_cell_length_c 22.7576
_cell_angle_alpha 90.00
_cell_angle_beta 90.00
_cell_angle_gamma 120.00
loop_
_atom_site_label
_atom_site_type_symbol
_atom_site_fract_x
_atom_site_fract_y
_atom_site_fract_z
Rb1 Rb 0.0000 0.0000 0.0000
H1 H 0.0458 0.2717 0.3192
H2 H 0.0461 0.2731 0.8193
H3 H 0.1672 0.3353 0.3806
H4 H 0.2133 0.1059 0.6519
N1 N 0.0000 0.4998 0.0011
```


Structure and simulated PXRD pattern of HoHfP (the PBE geometry in Alexandria; copper Kα).
Lines closer than 0.1° are merged.

Largest 8 diffraction maxima, sorted by position, 10 to 80 degrees two-theta:
Position (°2θ)	d_spacing	I_rel
28.34	3.149	37.0
33.80	2.652	100.0
35.10	2.557	31.2
36.93	2.434	21.5
39.61	2.275	49.3
45.38	1.998	38.7
58.13	1.587	23.8
58.63	1.575	28.7

Cell and atoms:
```
data_HoHfP
_chemical_formula_sum 'Ho4 Hf4 P4'
_symmetry_space_group_name_H-M 'I 4/m m m'
_symmetry_Int_Tables_number 139
_symmetry_space_group_name_Hall '-I 4 2'
_cell_length_a 3.9968
_cell_length_b 3.9968
_cell_length_c 15.3408
_cell_angle_alpha 90.00
_cell_angle_beta 90.00
_cell_angle_gamma 90.00
loop_
_atom_site_label
_atom_site_type_symbol
_atom_site_fract_x
_atom_site_fract_y
_atom_site_fract_z
Ho1 Ho 0.0000 0.0000 0.1784
Hf1 Hf 0.0000 0.5000 0.0000
P1 P 0.0000 0.0000 0.3713
```


Structure and simulated PXRD pattern of PuScU2Sb4 (the PBE geometry in Alexandria; copper Kα).
Lines closer than 0.1° are merged.

Largest 8 diffraction maxima, sorted by position, 10 to 80 degrees two-theta:
Position (°2θ)	d_spacing	I_rel
29.10	3.069	100.0
41.11	2.196	13.1
41.41	2.180	25.8
41.85	2.158	25.1
42.09	2.147	12.4
52.00	1.758	13.4
60.32	1.534	12.8
68.06	1.378	11.8

Cell and atoms:
```
data_PuScU2Sb4
_chemical_formula_sum 'Pu1 Sc1 U2 Sb4'
_symmetry_space_group_name_H-M 'P 1 2/m 1'
_symmetry_Int_Tables_number 10
_symmetry_space_group_name_Hall '-P 2y'
_cell_length_a 7.4909
_cell_length_b 4.2934
_cell_length_c 7.5947
_cell_angle_alpha 90.00
_cell_angle_beta 108.78
_cell_angle_gamma 90.00
loop_
_atom_site_label
_atom_site_type_symbol
_atom_site_fract_x
_atom_site_fract_y
_atom_site_fract_z
Pu1 Pu 0.0000 0.0000 0.0000
Sc1 Sc 0.0000 0.5000 0.5000
U1 U 0.5000 0.0000 0.5000
U2 U 0.5000 0.5000 0.0000
Sb1 Sb 0.2408 0.0000 0.7386
Sb2 Sb 0.2453 0.5000 0.2565
```


Structure and simulated PXRD pattern of Pr7Sm (the PBE geometry in Alexandria; copper Kα).
Lines closer than 0.1° are merged.

Largest 7 diffraction maxima, sorted by position, 10 to 80 degrees two-theta:
Position (°2θ)	d_spacing	I_rel
29.53	3.025	100.0
34.23	2.620	50.8
49.19	1.852	36.5
58.42	1.580	43.5
61.29	1.512	12.5
72.11	1.310	5.8
79.79	1.202	17.6

Cell and atoms:
```
data_Pr7Sm
_chemical_formula_sum 'Pr28 Sm4'
_symmetry_space_group_name_H-M 'F m -3 m'
_symmetry_Int_Tables_number 225
_symmetry_space_group_name_Hall '-F 4 2 3'
_cell_length_a 10.4786
_cell_length_b 10.4786
_cell_length_c 10.4786
_cell_angle_alpha 90.00
_cell_angle_beta 90.00
_cell_angle_gamma 90.00
loop_
_atom_site_label
_atom_site_type_symbol
_atom_site_fract_x
_atom_site_fract_y
_atom_site_fract_z
Pr1 Pr 0.0000 0.0000 0.0000
Pr2 Pr 0.0000 0.2500 0.2500
Sm1 Sm 0.0000 0.0000 0.5000
```


Structure and simulated PXRD pattern of CeHf4Ge4 (the PBE geometry in Alexandria; copper Kα).
Lines closer than 0.1° are merged.

Largest 8 diffraction maxima, sorted by position, 10 to 80 degrees two-theta:
Position (°2θ)	d_spacing	I_rel
14.06	6.299	60.6
28.00	3.187	45.0
31.77	2.817	100.0
35.27	2.545	68.6
40.26	2.240	49.7
45.84	1.979	48.2
54.78	1.676	27.9
62.81	1.479	25.6

Cell and atoms:
```
data_CeHf4Ge4
_chemical_formula_sum 'Ce2 Hf8 Ge8'
_symmetry_space_group_name_H-M 'P 42/n'
_symmetry_Int_Tables_number 86
_cell_length_a 8.9077
_cell_length_b 8.9077
_cell_length_c 5.3110
_cell_angle_alpha 90.00
_cell_angle_beta 90.00
_cell_angle_gamma 90.00
loop_
_symmetry_equiv_pos_as_xyz
'x,y,z'
'-x,-y,-z'
'-y,x+1/2,z+1/2'
'y,-x+1/2,-z+1/2'
'-x+1/2,-y+1/2,z'
'x+1/2,y+1/2,-z'
'y+1/2,-x,z+1/2'
'-y+1/2,x,-z+1/2'
loop_
_atom_site_label
_atom_site_type_symbol
_atom_site_fract_x
_atom_site_fract_y
_atom_site_fract_z
Ce1 Ce 0.2500 0.2500 0.2500
Hf1 Hf 0.1149 0.6348 0.1438
Ge1 Ge 0.0578 0.5940 0.6560
```


Structure and simulated PXRD pattern of TaNi2W (the PBE geometry in Alexandria; copper Kα).
Lines closer than 0.1° are merged.

Largest 8 diffraction maxima, sorted by position, 10 to 80 degrees two-theta:
Position (°2θ)	d_spacing	I_rel
27.80	3.209	65.5
37.73	2.384	23.2
40.03	2.252	39.7
41.64	2.169	58.9
42.73	2.116	100.0
43.31	2.089	72.0
45.37	1.999	34.0
59.14	1.562	25.2

Cell and atoms:
```
data_TaNi2W
_chemical_formula_sum 'Ta1 Ni2 W1'
_symmetry_space_group_name_H-M 'P 1 m 1'
_symmetry_Int_Tables_number 6
_symmetry_space_group_name_Hall 'P -2y'
_cell_length_a 2.6857
_cell_length_b 4.3376
_cell_length_c 4.7857
_cell_angle_alpha 90.00
_cell_angle_beta 94.93
_cell_angle_gamma 90.00
loop_
_atom_site_label
_atom_site_type_symbol
_atom_site_fract_x
_atom_site_fract_y
_atom_site_fract_z
Ta1 Ta 0.0000 0.0000 0.0000
Ni1 Ni 0.4140 0.5000 0.8262
Ni2 Ni 0.4254 0.0000 0.5164
W1 W 0.8256 0.5000 0.3549
```


Structure and simulated PXRD pattern of Sc5Rh2 (the PBE geometry in Alexandria; copper Kα).
Lines closer than 0.1° are merged.

Largest 8 diffraction maxima, sorted by position, 10 to 80 degrees two-theta:
Position (°2θ)	d_spacing	I_rel
23.50	3.785	100.0
32.37	2.766	25.4
35.23	2.548	20.9
37.85	2.377	76.3
38.82	2.320	90.0
39.86	2.262	74.1
44.10	2.054	32.7
45.95	1.975	45.8

Cell and atoms:
```
data_Sc5Rh2
_chemical_formula_sum 'Sc20 Rh8'
_symmetry_space_group_name_H-M 'I b a m'
_symmetry_Int_Tables_number 72
_symmetry_space_group_name_Hall '-I 2 2c'
_cell_length_a 6.5482
_cell_length_b 13.8287
_cell_length_c 6.2565
_cell_angle_alpha 90.00
_cell_angle_beta 90.00
_cell_angle_gamma 90.00
loop_
_atom_site_label
_atom_site_type_symbol
_atom_site_fract_x
_atom_site_fract_y
_atom_site_fract_z
Sc1 Sc 0.0000 0.0000 0.2500
Sc2 Sc 0.0000 0.2275 0.2500
Sc3 Sc 0.1425 0.4112 0.0000
Rh1 Rh 0.2426 0.3736 0.5000
```


Repeat the third record exactly.
Structure and simulated PXRD pattern of HoHfP (the PBE geometry in Alexandria; copper Kα).
Lines closer than 0.1° are merged.

Largest 8 diffraction maxima, sorted by position, 10 to 80 degrees two-theta:
Position (°2θ)	d_spacing	I_rel
28.34	3.149	37.0
33.80	2.652	100.0
35.10	2.557	31.2
36.93	2.434	21.5
39.61	2.275	49.3
45.38	1.998	38.7
58.13	1.587	23.8
58.63	1.575	28.7

Cell and atoms:
```
data_HoHfP
_chemical_formula_sum 'Ho4 Hf4 P4'
_symmetry_space_group_name_H-M 'I 4/m m m'
_symmetry_Int_Tables_number 139
_symmetry_space_group_name_Hall '-I 4 2'
_cell_length_a 3.9968
_cell_length_b 3.9968
_cell_length_c 15.3408
_cell_angle_alpha 90.00
_cell_angle_beta 90.00
_cell_angle_gamma 90.00
loop_
_atom_site_label
_atom_site_type_symbol
_atom_site_fract_x
_atom_site_fract_y
_atom_site_fract_z
Ho1 Ho 0.0000 0.0000 0.1784
Hf1 Hf 0.0000 0.5000 0.0000
P1 P 0.0000 0.0000 0.3713
```